Entry 1:
Starting from a DFT-relaxed cell (GGA-PBE, the Materials Project), the powder X-ray diffraction pattern of BaPb2BrF5 was simulated for Cu Ka.
No peak broadening, texture or thermal motion is included.

Structural model:
a b c (Å): 6.0426 6.0426 9.8740
angles (deg): 90.00 90.00 90.00
Positions (direct):
Ba1 0.2500 0.7500 0.0000
Ba2 0.7500 0.2500 0.0000
Pb1 0.2500 0.2500 0.2760
Pb2 0.2500 0.2500 0.6785
Pb3 0.7500 0.7500 0.3215
Pb4 0.7500 0.7500 0.7240
Br1 0.2500 0.7500 0.5000
Br2 0.7500 0.2500 0.5000
F1 0.0155 0.0155 0.8119
F2 0.0155 0.4845 0.8119
F3 0.2500 0.2500 0.0404
F4 0.4845 0.0155 0.8119
F5 0.4845 0.4845 0.8119
F6 0.5155 0.5155 0.1881
F7 0.5155 0.9845 0.1881
F8 0.7500 0.7500 0.9596
F9 0.9845 0.5155 0.1881
F10 0.9845 0.9845 0.1881

Main lines, low angle first (2θ = 10–80°):
| d (Å) | I_rel |
| --- | --- |
| 4.273 | 16 |
| 3.231 | 100 |
| 3.021 | 50 |
| 2.226 | 25 |
| 2.136 | 31 |
| 1.782 | 37 |

=====

Entry 2:
Starting from a DFT-relaxed cell (GGA-PBE, the Materials Project), the powder X-ray diffraction pattern of Ba3FeS4Br was simulated for Cu Ka.
No peak broadening, texture or thermal motion is included.

Structural model:
a b c (Å): 12.5332 9.6381 8.6142
angles (deg): 90.00 90.00 90.00
Positions (direct):
Ba1 0.0249 0.2500 0.0806
Ba2 0.1632 0.0215 0.5877
Ba3 0.1632 0.4785 0.5877
Ba4 0.3368 0.5215 0.0877
Ba5 0.3368 0.9785 0.0877
Ba6 0.4751 0.7500 0.5806
Ba7 0.5249 0.2500 0.4194
Ba8 0.6632 0.0215 0.9123
Ba9 0.6632 0.4785 0.9123
Ba10 0.8368 0.5215 0.4123
Ba11 0.8368 0.9785 0.4123
Ba12 0.9751 0.7500 0.9194
Fe1 0.1059 0.7500 0.3126
Fe2 0.3941 0.2500 0.8126
Fe3 0.6059 0.7500 0.1874
Fe4 0.8941 0.2500 0.6874
S1 0.0085 0.7500 0.5346
S2 0.0720 0.5509 0.1892
S3 0.0720 0.9491 0.1892
S4 0.2175 0.2500 0.8616
S5 0.2825 0.7500 0.3616
S6 0.4280 0.0509 0.6892
S7 0.4280 0.4491 0.6892
S8 0.4915 0.2500 0.0346
S9 0.5085 0.7500 0.9654
S10 0.5720 0.5509 0.3108
S11 0.5720 0.9491 0.3108
S12 0.7175 0.2500 0.6384
S13 0.7825 0.7500 0.1384
S14 0.9280 0.0509 0.8108
S15 0.9280 0.4491 0.8108
S16 0.9915 0.2500 0.4654
Br1 0.2324 0.7500 0.8288
Br2 0.2676 0.2500 0.3288
Br3 0.7324 0.7500 0.6712
Br4 0.7676 0.2500 0.1712

Main lines, low angle first (2θ = 10–80°):
| d (Å) | I_rel |
| --- | --- |
| 3.987 | 49 |
| 3.757 | 91 |
| 3.111 | 100 |
| 2.858 | 38 |
| 2.627 | 36 |
| 2.410 | 41 |

=====

Entry 3:
Starting from a DFT-relaxed cell (GGA-PBE, the Materials Project), the powder X-ray diffraction pattern of Ba3GaS4Br was simulated for Cu Ka.
No peak broadening, texture or thermal motion is included.

Structural model:
a b c (Å): 12.5338 9.7090 8.6525
angles (deg): 90.00 90.00 90.00
Positions (direct):
Ba1 0.0256 0.2500 0.0830
Ba2 0.1650 0.0203 0.5892
Ba3 0.1650 0.4797 0.5892
Ba4 0.3350 0.5203 0.0892
Ba5 0.3350 0.9797 0.0892
Ba6 0.4744 0.7500 0.5830
Ba7 0.5256 0.2500 0.4170
Ba8 0.6650 0.0203 0.9108
Ba9 0.6650 0.4797 0.9108
Ba10 0.8350 0.5203 0.4108
Ba11 0.8350 0.9797 0.4108
Ba12 0.9744 0.7500 0.9170
Ga1 0.1041 0.7500 0.3108
Ga2 0.3959 0.2500 0.8108
Ga3 0.6041 0.7500 0.1892
Ga4 0.8959 0.2500 0.6892
S1 0.0057 0.7500 0.5340
S2 0.0706 0.5505 0.1856
S3 0.0706 0.9495 0.1856
S4 0.2164 0.2500 0.8625
S5 0.2836 0.7500 0.3625
S6 0.4294 0.0505 0.6856
S7 0.4294 0.4495 0.6856
S8 0.4943 0.2500 0.0340
S9 0.5057 0.7500 0.9660
S10 0.5706 0.5505 0.3144
S11 0.5706 0.9495 0.3144
S12 0.7164 0.2500 0.6375
S13 0.7836 0.7500 0.1375
S14 0.9294 0.0505 0.8144
S15 0.9294 0.4495 0.8144
S16 0.9943 0.2500 0.4660
Br1 0.2321 0.7500 0.8312
Br2 0.2679 0.2500 0.3312
Br3 0.7321 0.7500 0.6688
Br4 0.7679 0.2500 0.1688

Main lines, low angle first (2θ = 10–80°):
| d (Å) | I_rel |
| --- | --- |
| 4.011 | 41 |
| 3.764 | 86 |
| 3.508 | 34 |
| 3.128 | 100 |
| 2.946 | 43 |
| 2.427 | 42 |

=====

Entry 4:
Starting from a DFT-relaxed cell (GGA-PBE, the Materials Project), the powder X-ray diffraction pattern of Ba4Ge2PbSe8Br2 was simulated for Cu Ka.
No peak broadening, texture or thermal motion is included.

Structural model:
a b c (Å): 9.6567 12.6292 9.1974
angles (deg): 90.00 90.00 90.00
Positions (direct):
Ba1 0.2403 0.0798 0.0000
Ba2 0.2435 0.5727 0.7054
Ba3 0.2565 0.4273 0.2054
Ba4 0.2597 0.9202 0.5000
Ba5 0.7403 0.9202 0.5000
Ba6 0.7435 0.4273 0.2054
Ba7 0.7565 0.5727 0.7054
Ba8 0.7597 0.0798 0.0000
Ge1 0.0000 0.3417 0.9093
Ge2 0.0000 0.8517 0.7953
Ge3 0.5000 0.1483 0.2953
Ge4 0.5000 0.6583 0.4093
Pb1 0.0000 0.7472 0.1488
Pb2 0.5000 0.2528 0.6488
Se1 0.0000 0.0345 0.7321
Se2 0.0000 0.2470 0.1338
Se3 0.0000 0.5311 0.9755
Se4 0.0000 0.7498 0.5782
Se5 0.2031 0.8103 0.9323
Se6 0.2133 0.3119 0.7949
Se7 0.2867 0.6881 0.2949
Se8 0.2969 0.1897 0.4323
Se9 0.5000 0.2502 0.0782
Se10 0.5000 0.4689 0.4755
Se11 0.5000 0.7530 0.6338
Se12 0.5000 0.9655 0.2321
Se13 0.7031 0.1897 0.4323
Se14 0.7133 0.6881 0.2949
Se15 0.7867 0.3119 0.7949
Se16 0.7969 0.8103 0.9323
Br1 0.0000 0.4707 0.4545
Br2 0.0000 0.9782 0.2547
Br3 0.5000 0.0218 0.7547
Br4 0.5000 0.5293 0.9545

Main lines, low angle first (2θ = 10–80°):
| d (Å) | I_rel |
| --- | --- |
| 3.829 | 21 |
| 3.220 | 100 |
| 3.000 | 31 |
| 2.986 | 39 |
| 2.946 | 32 |
| 2.414 | 33 |

=====

Entry 5:
Starting from a DFT-relaxed cell (GGA-PBE, the Materials Project), the powder X-ray diffraction pattern of Ba4SnGe2S8Br2 was simulated for Cu Ka.
No peak broadening, texture or thermal motion is included.

Structural model:
a b c (Å): 9.2928 12.1087 9.1072
angles (deg): 90.00 90.00 90.00
Positions (direct):
Ba1 0.2413 0.0820 0.0000
Ba2 0.2446 0.5727 0.7159
Ba3 0.2554 0.4273 0.2159
Ba4 0.2587 0.9180 0.5000
Ba5 0.7413 0.9180 0.5000
Ba6 0.7446 0.4273 0.2159
Ba7 0.7554 0.5727 0.7159
Ba8 0.7587 0.0820 0.0000
Sn1 0.0000 0.7320 0.1364
Sn2 0.5000 0.2680 0.6364
Ge1 0.0000 0.3399 0.9127
Ge2 0.0000 0.8498 0.8076
Ge3 0.5000 0.1502 0.3076
Ge4 0.5000 0.6601 0.4127
S1 0.0000 0.0270 0.7444
S2 0.0000 0.2493 0.1275
S3 0.0000 0.5261 0.9761
S4 0.0000 0.7506 0.6033
S5 0.1926 0.8068 0.9435
S6 0.2144 0.3126 0.8158
S7 0.2856 0.6874 0.3158
S8 0.3074 0.1932 0.4435
S9 0.5000 0.2494 0.1033
S10 0.5000 0.4739 0.4761
S11 0.5000 0.7507 0.6275
S12 0.5000 0.9730 0.2444
S13 0.6926 0.1932 0.4435
S14 0.7144 0.6874 0.3158
S15 0.7856 0.3126 0.8158
S16 0.8074 0.8068 0.9435
Br1 0.0000 0.4635 0.4710
Br2 0.0000 0.9732 0.2574
Br3 0.5000 0.0268 0.7574
Br4 0.5000 0.5365 0.9710

Main lines, low angle first (2θ = 10–80°):
| d (Å) | I_rel |
| --- | --- |
| 3.691 | 24 |
| 3.419 | 19 |
| 3.141 | 100 |
| 2.889 | 31 |
| 2.873 | 33 |
| 2.323 | 25 |

=====

Entry 6:
Starting from a DFT-relaxed cell (GGA-PBE, the Materials Project), the powder X-ray diffraction pattern of Ba2HBr2 was simulated for Cu Ka.
No peak broadening, texture or thermal motion is included.

Structural model:
a b c (Å): 6.2889 6.2889 15.0970
angles (deg): 90.00 90.00 90.00
Positions (direct):
Ba1 0.0000 0.0000 0.1659
Ba2 0.0000 0.0000 0.8341
H1 0.0000 0.0000 0.0000
Br1 0.0000 0.0000 0.3561
Br2 0.0000 0.0000 0.6439

Main lines, low angle first (2θ = 10–80°):
| d (Å) | I_rel |
| --- | --- |
| 6.289 | 100 |
| 4.832 | 16 |
| 4.447 | 45 |
| 3.236 | 17 |
| 3.144 | 19 |
| 2.813 | 28 |

=====

Entry 7:
Starting from a DFT-relaxed cell (GGA-PBE, the Materials Project), the powder X-ray diffraction pattern of BaH4Br2O2 was simulated for Cu Ka.
No peak broadening, texture or thermal motion is included.

Structural model:
a b c (Å): 6.4177 6.4177 8.4920
angles (deg): 109.29 109.29 68.98
Positions (direct):
Ba1 0.1009 0.8991 0.7500
Ba2 0.8991 0.1009 0.2500
H1 0.2261 0.5942 0.0453
H2 0.2426 0.6147 0.3720
H3 0.3853 0.7574 0.1280
H4 0.4058 0.7739 0.4547
H5 0.5942 0.2261 0.5453
H6 0.6147 0.2426 0.8720
H7 0.7574 0.3853 0.6280
H8 0.7739 0.4058 0.9547
Br1 0.2569 0.3111 0.6511
Br2 0.3111 0.2569 0.1511
Br3 0.6889 0.7431 0.8489
Br4 0.7431 0.6889 0.3489
O1 0.2299 0.7515 0.0573
O2 0.2485 0.7701 0.4427
O3 0.7515 0.2299 0.5573
O4 0.7701 0.2485 0.9427

Main lines, low angle first (2θ = 10–80°):
| d (Å) | I_rel |
| --- | --- |
| 5.815 | 21 |
| 5.310 | 22 |
| 3.889 | 32 |
| 2.968 | 19 |
| 2.952 | 34 |
| 2.924 | 100 |

=====

Entry 8:
Starting from a DFT-relaxed cell (GGA-PBE, the Materials Project), the powder X-ray diffraction pattern of BaH5BrO3 was simulated for Cu Ka.
No peak broadening, texture or thermal motion is included.

Structural model:
a b c (Å): 4.6454 4.6454 11.8776
angles (deg): 90.00 90.00 90.00
Positions (direct):
Ba1 0.2500 0.2500 0.1880
Ba2 0.7500 0.7500 0.8120
H1 0.0707 0.7500 0.3728
H2 0.2500 0.2500 0.4899
H3 0.2500 0.5707 0.6272
H4 0.2500 0.9293 0.6272
H5 0.4293 0.7500 0.3728
H6 0.5707 0.2500 0.6272
H7 0.7500 0.0707 0.3728
H8 0.7500 0.4293 0.3728
H9 0.7500 0.7500 0.5101
H10 0.9293 0.2500 0.6272
Br1 0.2500 0.2500 0.9053
Br2 0.7500 0.7500 0.0947
O1 0.2500 0.2500 0.5717
O2 0.2500 0.7500 0.3233
O3 0.2500 0.7500 0.6767
O4 0.7500 0.2500 0.3233
O5 0.7500 0.2500 0.6767
O6 0.7500 0.7500 0.4283

Main lines, low angle first (2θ = 10–80°):
| d (Å) | I_rel |
| --- | --- |
| 3.285 | 100 |
| 3.166 | 67 |
| 3.013 | 94 |
| 2.528 | 82 |
| 2.502 | 74 |
| 2.323 | 70 |